# 1
Theoretical powder diffraction line list of SrMg4 for Cu Kα (weighted mean of Kα1 and Kα2), from a DFT-relaxed cell (GGA-PBE, Alexandria).
Kinematic intensities with the Lorentz-polarization factor, no thermal factor.

Structure:
```
data_SrMg4
_space_group_name_H-M_alt 'P 1'
_space_group_IT_number 1
_cell_length_a 5.7908
_cell_length_b 5.7908
_cell_length_c 5.7908
_cell_angle_alpha 102.45
_cell_angle_beta 102.45
_cell_angle_gamma 124.66
loop_
_space_group_symop_operation_xyz
'x,y,z'
loop_
_atom_site_label
_atom_site_type_symbol
_atom_site_fract_x
_atom_site_fract_y
_atom_site_fract_z
_atom_site_occupancy
Sr1 Sr 0.0000 0.0000 0.0000 1
Mg1 Mg 0.1974 0.4671 0.6645 1
Mg2 Mg 0.4671 0.8026 0.2696 1
Mg3 Mg 0.5329 0.1974 0.7304 1
Mg4 Mg 0.8026 0.5329 0.3355 1
```

Peak list (6 most intense, 2θ = 15–90°, most intense first)
- 2θ = 32.23°, rel. 100
- 2θ = 24.55°, rel. 21
- 2θ = 20.56°, rel. 21
- 2θ = 39.28°, rel. 20
- 2θ = 33.32°, rel. 20
- 2θ = 58.86°, rel. 17

# 2
Theoretical powder diffraction line list of RbSb12Pt4 for Cu Kα (weighted mean of Kα1 and Kα2), from a DFT-relaxed cell (GGA-PBE, Alexandria).
Kinematic intensities with the Lorentz-polarization factor, no thermal factor.

Structure:
```
data_RbSb12Pt4
_space_group_name_H-M_alt 'P 1'
_space_group_IT_number 1
_cell_length_a 8.3641
_cell_length_b 8.3641
_cell_length_c 8.3641
_cell_angle_alpha 109.47
_cell_angle_beta 109.47
_cell_angle_gamma 109.47
loop_
_space_group_symop_operation_xyz
'x,y,z'
loop_
_atom_site_label
_atom_site_type_symbol
_atom_site_fract_x
_atom_site_fract_y
_atom_site_fract_z
_atom_site_occupancy
Rb1 Rb 0.0000 0.0000 0.0000 1
Sb1 Sb 0.1566 0.5034 0.3467 1
Sb2 Sb 0.1566 0.8099 0.6533 1
Sb3 Sb 0.1901 0.3467 0.8434 1
Sb4 Sb 0.3467 0.1566 0.5034 1
Sb5 Sb 0.3467 0.8434 0.1901 1
Sb6 Sb 0.4966 0.6533 0.8434 1
Sb7 Sb 0.5034 0.3467 0.1566 1
Sb8 Sb 0.6533 0.1566 0.8099 1
Sb9 Sb 0.6533 0.8434 0.4966 1
Sb10 Sb 0.8099 0.6533 0.1566 1
Sb11 Sb 0.8434 0.1901 0.3467 1
Sb12 Sb 0.8434 0.4966 0.6533 1
Pt1 Pt 0.0000 0.0000 0.5000 1
Pt2 Pt 0.0000 0.5000 0.0000 1
Pt3 Pt 0.5000 0.0000 0.0000 1
Pt4 Pt 0.5000 0.5000 0.5000 1
```

Peak list (6 most intense, 2θ = 15–90°, most intense first)
- 2θ = 29.24°, rel. 100
- 2θ = 41.83°, rel. 65
- 2θ = 46.04°, rel. 59
- 2θ = 34.76°, rel. 36
- 2θ = 18.37°, rel. 33
- 2θ = 48.03°, rel. 32

# 3
Theoretical powder diffraction line list of NaTlAg for Cu Kα (weighted mean of Kα1 and Kα2), from a DFT-relaxed cell (GGA-PBE, Alexandria).
Kinematic intensities with the Lorentz-polarization factor, no thermal factor.

Structure:
```
data_NaTlAg
_space_group_name_H-M_alt 'P 1'
_space_group_IT_number 1
_cell_length_a 5.7051
_cell_length_b 5.7188
_cell_length_c 5.9685
_cell_angle_alpha 105.43
_cell_angle_beta 102.58
_cell_angle_gamma 119.15
loop_
_space_group_symop_operation_xyz
'x,y,z'
loop_
_atom_site_label
_atom_site_type_symbol
_atom_site_fract_x
_atom_site_fract_y
_atom_site_fract_z
_atom_site_occupancy
Na1 Na 0.1657 0.3407 0.0062 1
Na2 Na 0.8343 0.6593 0.9938 1
Tl1 Tl 0.3426 0.8469 0.6944 1
Tl2 Tl 0.6574 0.1531 0.3056 1
Ag1 Ag 0.2503 0.2490 0.5002 1
Ag2 Ag 0.7497 0.7510 0.4998 1
```

Peak list (6 most intense, 2θ = 15–90°, most intense first)
- 2θ = 36.01°, rel. 100
- 2θ = 16.92°, rel. 87
- 2θ = 19.59°, rel. 49
- 2θ = 36.50°, rel. 47
- 2θ = 30.93°, rel. 45
- 2θ = 38.42°, rel. 35